# 1
The following is a calculated X-ray diffraction stick pattern of Sr3CaCo2S2O5. It was derived from a crystal structure in the Materials Project, relaxed with PBE+U, using Cu Kα (weighted mean of Kα1 and Kα2).

The 10 most intense peaks (2θ = 15–90°), low angle first:
- 2θ = 31.45°, I = 100, hkl 1 0 7
- 2θ = 32.33°, I = 46, hkl 1 1 0
- 2θ = 32.93°, I = 12, hkl 1 1 2
- 2θ = 36.13°, I = 44, hkl 1 0 9
- 2θ = 37.44°, I = 19, hkl 1 1 6
- 2θ = 46.37°, I = 40, hkl 2 0 0
- 2θ = 57.11°, I = 35, hkl 2 1 7
- 2θ = 60.15°, I = 19, hkl 2 1 9
- 2θ = 61.17°, I = 15, hkl 1 1 16
- 2θ = 70.90°, I = 16, hkl 2 0 16

Crystal structure
Unit cell a=3.9162 b=3.9162 c=28.9624 alpha=90.00 beta=90.00 gamma=90.00
Space group I-4m2 (No. 119)
Unique sites:
Sr: 0.0000 0.0000 0.0000 (multiplicity 2)
Sr: 0.0000 0.0000 0.1308 (multiplicity 4)
Ca: 0.0000 0.5000 0.7500 (multiplicity 2)
Co: 0.0000 0.0000 0.4346 (multiplicity 4)
S: 0.0000 0.0000 0.3151 (multiplicity 4)
O: 0.0000 0.0000 0.5000 (multiplicity 2)
O: 0.0000 0.5000 0.0748 (multiplicity 4)
O: 0.0000 0.5000 0.5753 (multiplicity 4)


# 2
The following is a calculated X-ray diffraction stick pattern of Sr4CaCo2S2O6. It was derived from a crystal structure in the Materials Project, relaxed with PBE+U, using Cu Kα (weighted mean of Kα1 and Kα2).

The 10 most intense peaks (2θ = 15–90°), low angle first:
- 2θ = 31.19°, I = 100, hkl 1 0 4
- 2θ = 32.42°, I = 53, hkl 1 1 0
- 2θ = 32.87°, I = 12, hkl 1 1 1
- 2θ = 35.11°, I = 15, hkl 1 0 5
- 2θ = 39.44°, I = 25, hkl 1 0 6
- 2θ = 46.51°, I = 39, hkl 2 0 0
- 2θ = 54.23°, I = 14, hkl 0 0 10
- 2θ = 57.06°, I = 35, hkl 2 1 4
- 2θ = 59.56°, I = 12, hkl 1 1 9
- 2θ = 74.17°, I = 13, hkl 2 0 10

Crystal structure
Unit cell a=3.9049 b=3.9049 c=16.9047 alpha=90.00 beta=90.00 gamma=90.00
Space group P-4m2 (No. 115)
Unique sites:
Sr: 0.0000 0.5000 0.0814 (multiplicity 2)
Sr: 0.0000 0.5000 0.2957 (multiplicity 2)
Ca: 0.0000 0.0000 0.5000 (multiplicity 1)
Co: 0.0000 0.5000 0.8211 (multiplicity 2)
S: 0.0000 0.5000 0.6120 (multiplicity 2)
O: 0.0000 0.0000 0.1984 (multiplicity 2)
O: 0.0000 0.5000 0.9352 (multiplicity 2)
O: 0.5000 0.5000 0.1974 (multiplicity 2)


# 3
The following is a calculated X-ray diffraction stick pattern of CaCo5SbO8. It was derived from a crystal structure in the Materials Project, relaxed with PBE+U, using Cu Kα (weighted mean of Kα1 and Kα2).

The 10 most intense peaks (2θ = 15–90°), low angle first:
- 2θ = 17.08°, I = 70, hkl 0 0 1
- 2θ = 17.64°, I = 17, hkl 1 1 1
- 2θ = 33.18°, I = 15, hkl 0 1 2
- 2θ = 34.56°, I = 54, hkl 0 0 2
- 2θ = 35.22°, I = 26, hkl 2 0 0
- 2θ = 35.72°, I = 25, hkl 2 2 2
- 2θ = 40.37°, I = 52, hkl 0 2 2
- 2θ = 40.80°, I = 100, hkl 2 0 2
- 2θ = 58.40°, I = 30, hkl 2 0 -2
- 2θ = 59.09°, I = 29, hkl 2 2 4

Crystal structure
Unit cell a=6.1421 b=6.2573 c=6.2580 alpha=61.25 beta=61.33 gamma=61.27
Space group P1 (No. 1)
Unique sites:
Ca: 0.0000 0.0000 0.0000 (multiplicity 1)
Co: 0.0120 0.0203 0.4792 (multiplicity 1)
Co: 0.0115 0.4764 0.0211 (multiplicity 1)
Co: 0.5050 0.5071 0.5068 (multiplicity 1)
Co: 0.5074 0.0023 0.5100 (multiplicity 1)
Co: 0.5072 0.5111 0.0018 (multiplicity 1)
Sb: 0.0075 0.5077 0.5072 (multiplicity 1)
O: 0.2370 0.2814 0.2787 (multiplicity 1)
O: 0.2446 0.7251 0.2826 (multiplicity 1)
O: 0.2462 0.2809 0.7235 (multiplicity 1)
O: 0.2856 0.7439 0.7427 (multiplicity 1)
O: 0.7280 0.2660 0.2656 (multiplicity 1)
O: 0.7678 0.7235 0.2919 (multiplicity 1)
O: 0.7696 0.2908 0.7209 (multiplicity 1)
O: 0.7850 0.7314 0.7341 (multiplicity 1)


# 4
The following is a calculated X-ray diffraction stick pattern of Ca12ScCo7O24. It was derived from a crystal structure in the Materials Project, relaxed with PBE+U, using Cu Kα (weighted mean of Kα1 and Kα2).

The 10 most intense peaks (2θ = 15–90°), low angle first:
- 2θ = 19.40°, I = 65, hkl 0 2 0
- 2θ = 31.95°, I = 28, hkl 2 2 2
- 2θ = 33.93°, I = 100, hkl 2 0 -4
- 2θ = 41.02°, I = 22, hkl 2 2 4
- 2θ = 42.01°, I = 15, hkl 0 4 2
- 2θ = 45.62°, I = 35, hkl 4 2 0
- 2θ = 45.84°, I = 17, hkl 1 1 6
- 2θ = 47.19°, I = 17, hkl 4 2 -2
- 2θ = 47.45°, I = 16, hkl 0 2 6
- 2θ = 71.42°, I = 16, hkl 2 6 -4

Crystal structure
Unit cell a=8.8572 b=9.1480 c=12.6791 alpha=90.00 beta=93.11 gamma=90.00
Space group C2 (No. 5)
Unique sites:
Ca: 0.0000 0.0000 0.0000 (multiplicity 2)
Ca: 0.0000 0.0055 0.5000 (multiplicity 2)
Ca: 0.0013 0.7680 0.2426 (multiplicity 4)
Ca: 0.1807 0.3131 0.5709 (multiplicity 4)
Ca: 0.1834 0.3153 0.0643 (multiplicity 4)
Ca: 0.1828 0.4455 0.8186 (multiplicity 4)
Ca: 0.1881 0.4501 0.3115 (multiplicity 4)
Sc: 0.0000 0.6317 0.5000 (multiplicity 2)
Co: 0.0000 0.6274 0.0000 (multiplicity 2)
Co: 0.0023 0.1354 0.7531 (multiplicity 4)
Co: 0.2475 0.6333 0.1235 (multiplicity 4)
Co: 0.2495 0.1320 0.3744 (multiplicity 4)
O: 0.0571 0.5349 0.1407 (multiplicity 4)
O: 0.0600 0.5307 0.6462 (multiplicity 4)
O: 0.0639 0.2348 0.8961 (multiplicity 4)
O: 0.0660 0.2327 0.3978 (multiplicity 4)
O: 0.1236 0.7976 0.0791 (multiplicity 4)
O: 0.1277 0.7977 0.5808 (multiplicity 4)
O: 0.1310 0.9660 0.8307 (multiplicity 4)
O: 0.1322 0.9694 0.3373 (multiplicity 4)
O: 0.2261 0.5694 0.9784 (multiplicity 4)
O: 0.2270 0.5675 0.4810 (multiplicity 4)
O: 0.2323 0.1964 0.2351 (multiplicity 4)
O: 0.2355 0.1987 0.7305 (multiplicity 4)


# 5
The following is a calculated X-ray diffraction stick pattern of Ca5Sc2Co2O12. It was derived from a crystal structure in the Materials Project, relaxed with PBE+U, using Cu Kα (weighted mean of Kα1 and Kα2).

The 10 most intense peaks (2θ = 15–90°), low angle first:
- 2θ = 18.95°, I = 100, hkl 1 1 1
- 2θ = 19.27°, I = 38, hkl 1 1 -1
- 2θ = 19.85°, I = 32, hkl 1 -1 1
- 2θ = 31.93°, I = 35, hkl 0 3 1
- 2θ = 32.93°, I = 49, hkl 1 1 3
- 2θ = 33.51°, I = 99, hkl 2 2 0
- 2θ = 40.96°, I = 37, hkl 0 4 0
- 2θ = 45.06°, I = 27, hkl 3 -1 1
- 2θ = 45.49°, I = 59, hkl -1 3 3
- 2θ = 47.11°, I = 29, hkl 3 0 -2

Crystal structure
Unit cell a=6.4321 b=8.8273 c=9.3726 alpha=89.89 beta=88.69 gamma=86.47
Space group P1 (No. 1)
Unique sites:
Ca: 0.0000 0.0000 0.0000 (multiplicity 1)
Ca: 0.0006 0.4964 0.4981 (multiplicity 1)
Ca: 0.1330 0.8289 0.6778 (multiplicity 1)
Ca: 0.1338 0.3278 0.1820 (multiplicity 1)
Ca: 0.4940 0.0057 0.1317 (multiplicity 1)
Ca: 0.4981 0.5044 0.6296 (multiplicity 1)
Ca: 0.6189 0.3261 0.9492 (multiplicity 1)
Ca: 0.6224 0.8268 0.4463 (multiplicity 1)
Ca: 0.7674 0.6374 0.1283 (multiplicity 1)
Ca: 0.7722 0.1374 0.6228 (multiplicity 1)
Sc: 0.1270 0.3206 0.8151 (multiplicity 1)
Sc: 0.1310 0.8223 0.3130 (multiplicity 1)
Sc: 0.6223 0.3180 0.3174 (multiplicity 1)
Sc: 0.6253 0.8200 0.8160 (multiplicity 1)
Co: 0.3817 0.0739 0.8098 (multiplicity 1)
Co: 0.3820 0.5752 0.3148 (multiplicity 1)
Co: 0.8821 0.0707 0.3104 (multiplicity 1)
Co: 0.8858 0.5739 0.8141 (multiplicity 1)
O: 0.0871 0.0909 0.7629 (multiplicity 1)
O: 0.0912 0.5926 0.2631 (multiplicity 1)
O: 0.1572 0.5462 0.7352 (multiplicity 1)
O: 0.1576 0.0455 0.2334 (multiplicity 1)
O: 0.2887 0.2057 0.9868 (multiplicity 1)
O: 0.2915 0.6978 0.4800 (multiplicity 1)
O: 0.3376 0.3969 0.4166 (multiplicity 1)
O: 0.3378 0.8977 0.9147 (multiplicity 1)
O: 0.4313 0.2627 0.7278 (multiplicity 1)
O: 0.4349 0.7639 0.2276 (multiplicity 1)
O: 0.4802 0.4475 0.1587 (multiplicity 1)
O: 0.4824 0.9399 0.6517 (multiplicity 1)
O: 0.6024 0.0874 0.3717 (multiplicity 1)
O: 0.6039 0.5873 0.8708 (multiplicity 1)
O: 0.6649 0.5506 0.3804 (multiplicity 1)
O: 0.6668 0.0516 0.8822 (multiplicity 1)
O: 0.7909 0.1909 0.1489 (multiplicity 1)
O: 0.7919 0.6923 0.6459 (multiplicity 1)
O: 0.8396 0.3738 0.7053 (multiplicity 1)
O: 0.8400 0.8812 0.2120 (multiplicity 1)
O: 0.9096 0.2621 0.4037 (multiplicity 1)
O: 0.9104 0.7700 0.9088 (multiplicity 1)
O: 0.9482 0.4411 0.9757 (multiplicity 1)
O: 0.9525 0.9431 0.4727 (multiplicity 1)


# 6
The following is a calculated X-ray diffraction stick pattern of Ca5Sc2Co2O12. It was derived from a crystal structure in the Materials Project, relaxed with PBE+U, using Cu Kα (weighted mean of Kα1 and Kα2).

The 10 most intense peaks (2θ = 15–90°), low angle first:
- 2θ = 18.97°, I = 100, hkl 1 -1 0
- 2θ = 19.31°, I = 37, hkl 0 1 -1
- 2θ = 19.76°, I = 33, hkl 0 1 1
- 2θ = 32.98°, I = 46, hkl -2 1 1
- 2θ = 33.57°, I = 94, hkl 1 -2 1
- 2θ = 41.21°, I = 34, hkl 2 2 0
- 2θ = 44.90°, I = 26, hkl 0 3 1
- 2θ = 45.94°, I = 46, hkl 3 0 1
- 2θ = 47.20°, I = 51, hkl 1 -1 3
- 2θ = 61.69°, I = 24, hkl 4 -1 1

Crystal structure
Unit cell a=6.3905 b=6.4349 c=6.4492 alpha=91.07 beta=93.69 gamma=93.64
Space group P1 (No. 1)
Unique sites:
Ca: 0.0000 0.0000 0.0000 (multiplicity 1)
Ca: 0.1389 0.5075 0.8742 (multiplicity 1)
Ca: 0.3731 0.2723 0.3589 (multiplicity 1)
Ca: 0.6257 0.6402 0.7265 (multiplicity 1)
Ca: 0.8592 0.1263 0.4923 (multiplicity 1)
Sc: 0.5001 0.1271 0.8716 (multiplicity 1)
Sc: 0.9977 0.6379 0.3630 (multiplicity 1)
Co: 0.2440 0.8883 0.6125 (multiplicity 1)
Co: 0.7540 0.3874 0.1117 (multiplicity 1)
O: 0.0445 0.3489 0.2025 (multiplicity 1)
O: 0.1420 0.9419 0.3359 (multiplicity 1)
O: 0.2021 0.1685 0.7011 (multiplicity 1)
O: 0.2790 0.5998 0.5454 (multiplicity 1)
O: 0.3243 0.8417 0.8922 (multiplicity 1)
O: 0.4665 0.4123 0.0144 (multiplicity 1)
O: 0.5320 0.9863 0.5858 (multiplicity 1)
O: 0.6770 0.1073 0.1574 (multiplicity 1)
O: 0.7175 0.4562 0.4006 (multiplicity 1)
O: 0.7968 0.2982 0.8310 (multiplicity 1)
O: 0.8550 0.6638 0.0579 (multiplicity 1)
O: 0.9533 0.7982 0.6520 (multiplicity 1)


# 7
The following is a calculated X-ray diffraction stick pattern of Ca5Sc2Co2O12. It was derived from a crystal structure in the Materials Project, relaxed with PBE+U, using Cu Kα (weighted mean of Kα1 and Kα2).

The 10 most intense peaks (2θ = 15–90°), low angle first:
- 2θ = 18.92°, I = 100, hkl 1 1 1
- 2θ = 19.21°, I = 37, hkl 0 0 2
- 2θ = 19.60°, I = 31, hkl 0 2 0
- 2θ = 32.89°, I = 49, hkl 2 2 0
- 2θ = 33.42°, I = 97, hkl 1 1 -3
- 2θ = 41.22°, I = 35, hkl 2 -2 2
- 2θ = 44.57°, I = 29, hkl 0 4 2
- 2θ = 45.35°, I = 22, hkl -1 3 3
- 2θ = 46.08°, I = 33, hkl -3 1 1
- 2θ = 47.29°, I = 21, hkl 3 0 2

Crystal structure
Unit cell a=6.3708 b=9.0982 c=9.2396 alpha=89.91 beta=90.00 gamma=84.50
Space group P1 (No. 1)
Unique sites:
Ca: 0.0000 0.0000 0.0000 (multiplicity 1)
Ca: 0.0011 0.5000 0.4955 (multiplicity 1)
Ca: 0.1355 0.8119 0.3153 (multiplicity 1)
Ca: 0.1414 0.3104 0.8125 (multiplicity 1)
Ca: 0.3711 0.6804 0.9507 (multiplicity 1)
Ca: 0.3746 0.1799 0.4575 (multiplicity 1)
Ca: 0.6251 0.8182 0.4576 (multiplicity 1)
Ca: 0.6295 0.3213 0.9497 (multiplicity 1)
Ca: 0.8581 0.6903 0.8126 (multiplicity 1)
Ca: 0.8656 0.1864 0.3159 (multiplicity 1)
Sc: 0.0004 0.5000 0.1294 (multiplicity 1)
Sc: 0.5000 0.0000 0.1315 (multiplicity 1)
Sc: 0.5011 0.5004 0.6213 (multiplicity 1)
Sc: 0.9986 0.9994 0.6378 (multiplicity 1)
Co: 0.2423 0.7484 0.6340 (multiplicity 1)
Co: 0.2508 0.2530 0.1358 (multiplicity 1)
Co: 0.7499 0.7472 0.1359 (multiplicity 1)
Co: 0.7569 0.2510 0.6339 (multiplicity 1)
O: 0.0430 0.7290 0.0724 (multiplicity 1)
O: 0.0478 0.2219 0.5692 (multiplicity 1)
O: 0.1373 0.8598 0.8013 (multiplicity 1)
O: 0.1467 0.3609 0.2985 (multiplicity 1)
O: 0.1986 0.5664 0.7248 (multiplicity 1)
O: 0.2089 0.0499 0.2381 (multiplicity 1)
O: 0.2758 0.4413 0.0125 (multiplicity 1)
O: 0.2804 0.9249 0.5288 (multiplicity 1)
O: 0.3257 0.6330 0.4700 (multiplicity 1)
O: 0.3274 0.1350 0.9749 (multiplicity 1)
O: 0.4678 0.2888 0.6952 (multiplicity 1)
O: 0.4702 0.7802 0.1982 (multiplicity 1)
O: 0.5296 0.2197 0.1990 (multiplicity 1)
O: 0.5310 0.7118 0.6968 (multiplicity 1)
O: 0.6725 0.8658 0.9750 (multiplicity 1)
O: 0.6794 0.3660 0.4705 (multiplicity 1)
O: 0.7181 0.0726 0.5284 (multiplicity 1)
O: 0.7246 0.5594 0.0135 (multiplicity 1)
O: 0.7916 0.9493 0.2375 (multiplicity 1)
O: 0.8006 0.4346 0.7255 (multiplicity 1)
O: 0.8545 0.6385 0.2986 (multiplicity 1)
O: 0.8594 0.1419 0.8010 (multiplicity 1)
O: 0.9516 0.7758 0.5692 (multiplicity 1)
O: 0.9580 0.2711 0.0722 (multiplicity 1)